1.
Theoretical PXRD pattern
Compound: Ca2Ni2SF6
Radiation: copper Kα
Structure: a DFT-relaxed cell (PBE+U, the Materials Project)
Intensities are scaled so that the largest is 100.

Structural model:
Cell lengths 11.0697, 11.0697, 11.0697 Å; angles 90.00, 90.00, 90.00 degrees
Space group Fd-3m (No. 227, origin choice 2)
Inequivalent atoms, fractional coordinates:
Ca 0.0000 0.0000 0.0000
Ni 0.0000 0.0000 0.5000
S 0.1250 0.1250 0.1250
F 0.0724 0.3750 0.8750

Top 8 peaks for 2θ from 5° to 70°, by angle:
2θ = 13.86°, rel. 7
2θ = 26.71°, rel. 20
2θ = 27.92°, rel. 100
2θ = 32.35°, rel. 9
2θ = 42.43°, rel. 9
2θ = 46.40°, rel. 69
2θ = 55.03°, rel. 40
2θ = 67.72°, rel. 9

2.
Theoretical PXRD pattern
Compound: KV3Cd4O12
Radiation: copper Kα
Structure: a DFT-relaxed cell (PBE+U, the Materials Project)
Intensities are scaled so that the largest is 100.

Structural model:
```
data_KV3Cd4O12
_chemical_formula_sum 'K4 V12 Cd16 O48'
_space_group_name_H-M_alt 'C 1 c 1'
_space_group_IT_number 9
_cell_length_a 13.1755
_cell_length_b 13.7531
_cell_length_c 7.2058
_cell_angle_alpha 90.00
_cell_angle_beta 115.17
_cell_angle_gamma 90.00
loop_
_space_group_symop_operation_xyz
'x,y,z'
'x,-y,z+1/2'
'x+1/2,y+1/2,z'
'x+1/2,-y+1/2,z+1/2'
loop_
_atom_site_label
_atom_site_fract_x
_atom_site_fract_y
_atom_site_fract_z
_atom_site_occupancy
K1 0.0000 0.0319 0.0000 1
V1 0.0011 0.2971 0.9997 1
V2 0.2382 0.1084 0.8859 1
V3 0.2666 0.3879 0.6125 1
Cd1 0.0031 0.2652 0.5066 1
Cd2 0.2228 0.1606 0.3956 1
Cd3 0.2797 0.3420 0.1018 1
Cd4 0.4822 0.0064 0.7869 1
O1 0.0469 0.2253 0.2188 1
O2 0.0964 0.3794 0.9754 1
O3 0.1199 0.3988 0.5378 1
O4 0.1635 0.1671 0.6509 1
O5 0.1727 0.0012 0.3727 1
O6 0.2227 0.1765 0.0736 1
O7 0.2884 0.3206 0.4286 1
O8 0.3297 0.4993 0.6284 1
O9 0.3406 0.3289 0.8498 1
O10 0.3865 0.0902 0.9570 1
O11 0.4054 0.1178 0.5206 1
O12 0.4571 0.2753 0.2802 1
```

Top 8 peaks for 2θ from 5° to 70°, by angle:
2θ = 9.82°, rel. 21
2θ = 19.20°, rel. 15
2θ = 23.30°, rel. 23
2θ = 27.78°, rel. 23
2θ = 29.99°, rel. 100
2θ = 31.87°, rel. 36
2θ = 32.05°, rel. 18
2θ = 47.28°, rel. 16

3.
Theoretical PXRD pattern
Compound: K2Mn3P4H4O12
Radiation: copper Kα
Structure: a DFT-relaxed cell (PBE+U, the Materials Project)
Intensities are scaled so that the largest is 100.

Structural model:
```
data_K2Mn3P4H4O12
_chemical_formula_sum 'K6 Mn9 P12 H12 O36'
_space_group_name_H-M_alt 'R -3 m'
_space_group_IT_number 166
_space_group_name_Hall '-R 3 2"'
_cell_length_a 5.5073
_cell_length_b 5.5073
_cell_length_c 35.9485
_cell_angle_alpha 90.00
_cell_angle_beta 90.00
_cell_angle_gamma 120.00
loop_
_atom_site_label
_atom_site_fract_x
_atom_site_fract_y
_atom_site_fract_z
_atom_site_occupancy
K1 0.0000 0.0000 0.1871 1
Mn1 0.0000 0.9999 0.0000 1
Mn2 0.0000 0.0000 0.0846 1
P1 0.0000 0.0000 0.3039 1
P2 0.0000 0.0000 0.4414 1
H1 0.0000 0.0000 0.3431 1
H2 0.0000 0.0000 0.4022 1
O1 0.0212 0.5106 0.3743 1
O2 0.0251 0.5125 0.2126 1
```

Top 8 peaks for 2θ from 5° to 70°, by angle:
2θ = 18.77°, rel. 39
2θ = 19.25°, rel. 24
2θ = 27.27°, rel. 86
2θ = 31.16°, rel. 30
2θ = 32.52°, rel. 100
2θ = 33.23°, rel. 56
2θ = 44.70°, rel. 25
2θ = 68.10°, rel. 29

4.
Theoretical PXRD pattern
Compound: TbCrTeO6
Radiation: copper Kα
Structure: a DFT-relaxed cell (PBE+U, the Materials Project)
Intensities are scaled so that the largest is 100.

Structural model:
```
data_TbCrTeO6
_chemical_formula_sum 'Tb2 Cr2 Te2 O12'
_space_group_name_H-M_alt 'P -3 1 c'
_space_group_IT_number 163
_space_group_name_Hall '-P 3 2c'
_cell_length_a 5.4376
_cell_length_b 5.4376
_cell_length_c 8.5760
_cell_angle_alpha 90.00
_cell_angle_beta 90.00
_cell_angle_gamma 120.00
loop_
_atom_site_label
_atom_site_fract_x
_atom_site_fract_y
_atom_site_fract_z
_atom_site_occupancy
Tb1 0.3333 0.6667 0.2500 1
Cr1 0.0000 0.0000 0.0000 1
Te1 0.3333 0.6667 0.7500 1
O1 0.0450 0.3541 0.8773 1
```

Top 8 peaks for 2θ from 5° to 70°, by angle:
2θ = 20.71°, rel. 46
2θ = 28.15°, rel. 100
2θ = 32.94°, rel. 72
2θ = 39.24°, rel. 63
2θ = 43.87°, rel. 29
2θ = 54.51°, rel. 57
2θ = 55.93°, rel. 28
2θ = 58.83°, rel. 26